(1)
Tl3GeBr6: calculated PXRD pattern (Cu Kα (weighted mean of Kα1 and Kα2)), based on a structure optimized by DFT (GGA-PBE).
Peak positions follow from Bragg's law for the DFT cell and can differ from measured ones.

Cell and atoms:
Lattice parameters (Å, degrees): 12.637 16.657 8.099 90.00 90.00 90.00
Space group Cmc2_1 (No. 36)
Asymmetric unit:
Tl: 0.000 0.094 0.000
Tl: 0.198 0.409 0.977
Ge: 0.000 0.309 0.424
Br: 0.000 0.287 0.729
Br: 0.000 0.455 0.340
Br: 0.158 0.247 0.295
Br: 0.161 0.008 0.737

Principal peaks in the range 5° ≤ 2θ ≤ 70°, in order of rising 2θ:
- 20.6 deg, I 41.0, hkl 1 3 1
- 20.8 deg, I 100.0, hkl 2 2 1
- 24.4 deg, I 13.3, hkl 0 2 2
- 27.9 deg, I 20.6, hkl 2 4 1
- 28.8 deg, I 20.3, hkl 3 3 1
- 30.8 deg, I 35.5, hkl 0 4 2
- 31.1 deg, I 48.9, hkl 3 1 2
- 34.3 deg, I 42.0, hkl 3 5 0
- 37.8 deg, I 14.7, hkl 2 2 3
- 40.8 deg, I 21.5, hkl 5 3 1

***

(2)
La3TmSi4: calculated PXRD pattern (Cu Kα (weighted mean of Kα1 and Kα2)), based on a structure optimized by DFT (GGA-PBE).
Peak positions follow from Bragg's law for the DFT cell and can differ from measured ones.

Cell and atoms:
Lattice parameters (Å, degrees): 4.326 6.278 16.366 90.00 90.00 90.00
Space group Immm (No. 71)
Asymmetric unit:
La: 0.000 0.000 0.000
La: 0.000 0.500 0.195
Tm: 0.000 0.000 0.500
Si: 0.000 0.314 0.373

Principal peaks in the range 5° ≤ 2θ ≤ 70°, in order of rising 2θ:
- 27.3 deg, I 100.0, hkl 1 1 2
- 28.4 deg, I 20.8, hkl 0 2 0
- 30.8 deg, I 15.0, hkl 0 1 5
- 33.3 deg, I 19.8, hkl 1 1 4
- 36.1 deg, I 17.0, hkl 0 2 4
- 39.1 deg, I 15.2, hkl 1 2 3
- 41.7 deg, I 17.7, hkl 2 0 0
- 49.7 deg, I 19.0, hkl 1 3 2
- 51.5 deg, I 17.3, hkl 1 1 8
- 67.6 deg, I 20.2, hkl 1 3 8

***

(3)
Cs2PPbS4: calculated PXRD pattern (Cu Kα (weighted mean of Kα1 and Kα2)), based on a structure optimized by DFT (GGA-PBE).
Peak positions follow from Bragg's law for the DFT cell and can differ from measured ones.

Cell and atoms:
Lattice parameters (Å, degrees): 7.300 13.262 25.072 90.00 90.00 90.00
Space group Fddd (No. 70, origin choice 2)
Asymmetric unit:
Cs: 0.125 0.125 0.305
P: 0.125 0.125 0.625
Pb: 0.125 0.125 0.125
S: 0.038 0.285 0.828

Principal peaks in the range 5° ≤ 2θ ≤ 70°, in order of rising 2θ:
- 14.1 deg, I 55.2, hkl 0 0 4
- 14.3 deg, I 69.0, hkl 1 1 1
- 22.5 deg, I 62.2, hkl 1 1 5
- 23.8 deg, I 59.6, hkl 1 3 1
- 25.2 deg, I 100.0, hkl 0 2 6
- 27.9 deg, I 83.7, hkl 2 2 0
- 29.6 deg, I 81.5, hkl 1 3 5
- 32.6 deg, I 57.5, hkl 2 0 6
- 42.7 deg, I 49.6, hkl 2 4 6
- 46.5 deg, I 40.4, hkl 0 6 6

***

(4)
Ca3TbHo3Te8: calculated PXRD pattern (Cu Kα (weighted mean of Kα1 and Kα2)), based on a structure optimized by DFT (GGA-PBE).
Peak positions follow from Bragg's law for the DFT cell and can differ from measured ones.

Cell and atoms:
Lattice parameters (Å, degrees): 8.7356 8.7356 21.9625 90.00 90.00 120.00
Space group R-3m (No. 166, hexagonal axes)
Asymmetric unit:
Ca: 0.0000 0.5000 0.0000
Tb: 0.0000 0.0000 0.5000
Ho: 0.0000 0.5000 0.5000
Te: 0.0000 0.0000 0.2477
Te: 0.0061 0.5031 0.7517

Principal peaks in the range 5° ≤ 2θ ≤ 70°, in order of rising 2θ:
- 12.1 deg, I 23.2, hkl 0 0 3
- 23.9 deg, I 12.8, hkl 0 2 1
- 28.7 deg, I 100.0, hkl 0 2 4
- 40.6 deg, I 38.7, hkl 2 0 8
- 41.3 deg, I 36.8, hkl 2 2 0
- 49.8 deg, I 7.1, hkl 0 0 12
- 51.1 deg, I 19.8, hkl 4 0 4
- 59.3 deg, I 12.5, hkl 0 4 8
- 66.7 deg, I 17.4, hkl 2 2 12
- 67.7 deg, I 16.7, hkl 2 4 4

***

- Number 3 is which compound?
  Cs2PPbS4